Entry 1:
The following is a theoretical powder XRD pattern of Pr3Co11B4. It was derived from DFT lattice parameters and positions (GGA-PBE), using Cu Kα, 1.54184 Å.
Peak positions follow from Bragg's law for the DFT cell and can differ from measured ones.

Top 6 peaks for 10 to 90 degrees two-theta, most intense first:
40.41°, I = 100; 34.16°, I = 97; 44.91°, I = 95; 61.99°, I = 34; 34.81°, I = 29; 69.49°, I = 25

Crystal structure
```
Pr3Co11B4
1.0
5.1550 0.0000 0.0000
-2.5775 4.4644 0.0000
0.0000 0.0000 9.7339
Pr Co B
3 11 4
Direct
0.0000 0.0000 0.0000
0.0000 0.0000 0.3408
0.0000 0.0000 0.6592
0.0000 0.5000 0.2047
0.0000 0.5000 0.5000
0.0000 0.5000 0.7953
0.3333 0.6667 0.0000
0.5000 0.0000 0.2047
0.5000 0.0000 0.5000
0.5000 0.0000 0.7953
0.5000 0.5000 0.2047
0.5000 0.5000 0.5000
0.5000 0.5000 0.7953
0.6667 0.3333 0.0000
0.3333 0.6667 0.3500
0.3333 0.6667 0.6500
0.6667 0.3333 0.3500
0.6667 0.3333 0.6500
```


Entry 2:
The following is a theoretical powder XRD pattern of SrCaNi8Sn4. It was derived from DFT lattice parameters and positions (GGA-PBE), using Cu Kα, 1.54184 Å.
Peak positions follow from Bragg's law for the DFT cell and can differ from measured ones.

Top 6 peaks for 10 to 90 degrees two-theta, most intense first:
43.28°, I = 100; 36.42°, I = 64; 16.07°, I = 30; 74.98°, I = 27; 27.98°, I = 25; 49.58°, I = 23

Crystal structure
```
SrCaNi8Sn4
1.0
-3.9003 3.9003 3.9171
3.9003 -3.9003 3.9171
3.9003 3.9003 -3.9171
Sr Ca Ni Sn
1 1 8 4
Direct
0.0000 0.0000 0.0000
0.5000 0.5000 0.0000
0.0524 0.5493 0.7750
0.2257 0.4507 0.5031
0.2774 0.0524 0.5031
0.4507 0.9476 0.2250
0.5493 0.7743 0.4969
0.7226 0.2257 0.7750
0.7743 0.2774 0.2250
0.9476 0.7226 0.4969
0.0907 0.5907 0.1813
0.4093 0.9093 0.8187
0.5907 0.4093 0.5000
0.9093 0.0907 0.5000
```


Entry 3:
The following is a theoretical powder XRD pattern of MgTa3. It was derived from DFT lattice parameters and positions (GGA-PBE), using Cu Kα, 1.54184 Å.
Peak positions follow from Bragg's law for the DFT cell and can differ from measured ones.

Top 6 peaks for 10 to 90 degrees two-theta, most intense first:
37.07°, I = 100; 42.23°, I = 35; 73.82°, I = 27; 23.51°, I = 24; 63.19°, I = 21; 44.71°, I = 15

Crystal structure
```
MgTa3
1.0
-2.1399 2.1399 4.0535
2.1399 -2.1399 4.0535
2.1399 2.1399 -4.0535
Mg Ta
1 3
Direct
0.0000 0.0000 0.0000
0.2500 0.7500 0.5000
0.5000 0.5000 0.0000
0.7500 0.2500 0.5000
```


Entry 4:
The following is a theoretical powder XRD pattern of MgMnTe2. It was derived from DFT lattice parameters and positions (GGA-PBE), using Cu Kα, 1.54184 Å.
Peak positions follow from Bragg's law for the DFT cell and can differ from measured ones.

Top 6 peaks for 10 to 90 degrees two-theta, most intense first:
23.97°, I = 100; 39.65°, I = 63; 46.81°, I = 32; 46.97°, I = 16; 27.71°, I = 14; 71.89°, I = 14

Crystal structure
```
MgMnTe2
1.0
4.5528 0.0000 0.0000
0.0000 4.5528 0.0000
0.0000 0.0000 6.4115
Mg Mn Te
1 1 2
Direct
0.0000 0.0000 0.0000
0.5000 0.5000 0.5000
0.0000 0.5000 0.2590
0.5000 0.0000 0.7410
```


Entry 5:
The following is a theoretical powder XRD pattern of AgC4Br2O2. It was derived from DFT lattice parameters and positions (GGA-PBE), using Cu Kα, 1.54184 Å.
Peak positions follow from Bragg's law for the DFT cell and can differ from measured ones.

Top 6 peaks for 10 to 90 degrees two-theta, most intense first:
32.24°, I = 100; 23.90°, I = 89; 27.07°, I = 85; 10.55°, I = 83; 34.81°, I = 79; 24.22°, I = 76

Crystal structure
```
AgC4Br2O2
1.0
9.8277 0.0000 0.0000
0.0000 5.8179 0.0000
-6.7948 0.0000 11.1047
Ag C Br O
4 16 8 8
Direct
0.0782 0.2132 0.0040
0.0782 0.2868 0.5040
0.9218 0.7132 0.4960
0.9218 0.7868 0.9960
0.2442 0.7383 0.4998
0.2442 0.7617 0.9998
0.3430 0.0276 0.4072
0.3430 0.4724 0.9072
0.3775 0.6301 0.9993
0.3775 0.8699 0.4993
0.4629 0.1593 0.4081
0.4629 0.3407 0.9081
0.5371 0.6593 0.0919
0.5371 0.8407 0.5919
0.6225 0.1301 0.5007
0.6225 0.3699 0.0007
0.6570 0.5276 0.0928
0.6570 0.9724 0.5928
0.7558 0.2383 0.0002
0.7558 0.2617 0.5002
0.1288 0.0533 0.2773
0.1288 0.4467 0.7773
0.4103 0.1206 0.7854
0.4103 0.3794 0.2854
0.5897 0.6206 0.7146
0.5897 0.8794 0.2146
0.8712 0.5533 0.2227
0.8712 0.9467 0.7227
0.1549 0.6448 0.0246
0.1549 0.8552 0.5246
0.2343 0.5258 0.4766
0.2343 0.9742 0.9766
0.7657 0.0258 0.0234
0.7657 0.4742 0.5234
0.8451 0.1448 0.4754
0.8451 0.3552 0.9754
```


Entry 6:
The following is a theoretical powder XRD pattern of LiCuPO4. It was derived from DFT lattice parameters and positions (GGA-PBE), using Cu Kα, 1.54184 Å.
Peak positions follow from Bragg's law for the DFT cell and can differ from measured ones.

Top 6 peaks for 10 to 90 degrees two-theta, most intense first:
22.28°, I = 100; 21.74°, I = 79; 37.51°, I = 54; 34.52°, I = 43; 33.18°, I = 38; 16.41°, I = 36

Crystal structure
```
LiCuPO4
1.0
10.8329 0.0000 0.0000
0.0000 6.2297 0.0000
0.0000 0.0000 5.1973
Li Cu P O
4 4 4 16
Direct
0.1667 0.0098 0.0000
0.3333 0.5098 0.5000
0.6667 0.4902 0.0000
0.8333 0.9902 0.5000
0.0871 0.2712 0.4932
0.4129 0.7712 0.9932
0.5871 0.2288 0.4932
0.9129 0.7288 0.9932
0.1697 0.5055 0.9993
0.3303 0.0055 0.4993
0.6697 0.9945 0.9993
0.8303 0.4945 0.4993
0.0880 0.7048 0.9390
0.1159 0.2985 0.8802
0.1810 0.4817 0.2939
0.1991 0.0456 0.3854
0.3009 0.5456 0.8854
0.3190 0.9817 0.7939
0.3841 0.7985 0.3802
0.4120 0.2048 0.4390
0.5880 0.7952 0.9390
0.6159 0.2015 0.8802
0.6810 0.0183 0.2939
0.6991 0.4544 0.3854
0.8009 0.9544 0.8854
0.8190 0.5183 0.7939
0.8841 0.7015 0.3802
0.9120 0.2952 0.4390
```


Entry 7:
The following is a theoretical powder XRD pattern of SrEuTiInO6. It was derived from DFT lattice parameters and positions (GGA-PBE), using Cu Kα, 1.54184 Å.
Peak positions follow from Bragg's law for the DFT cell and can differ from measured ones.

Top 6 peaks for 10 to 90 degrees two-theta, most intense first:
31.10°, I = 100; 55.33°, I = 39; 44.55°, I = 33; 64.84°, I = 19; 73.65°, I = 17; 18.90°, I = 12

Crystal structure
```
SrEuTiInO6
1.0
0.0000 4.0673 4.0673
4.0673 0.0000 4.0673
4.0673 4.0673 0.0000
Sr Eu Ti In O
1 1 1 1 6
Direct
0.0000 0.0000 0.0000
0.5000 0.5000 0.5000
0.2500 0.2500 0.2500
0.7500 0.7500 0.7500
0.0104 0.0104 0.4896
0.0104 0.4896 0.0104
0.0104 0.4896 0.4896
0.4896 0.0104 0.0104
0.4896 0.0104 0.4896
0.4896 0.4896 0.0104
```


Entry 8:
The following is a theoretical powder XRD pattern of Sr11InSb9. It was derived from DFT lattice parameters and positions (GGA-PBE), using Cu Kα, 1.54184 Å.
Peak positions follow from Bragg's law for the DFT cell and can differ from measured ones.

Top 6 peaks for 10 to 90 degrees two-theta, most intense first:
29.42°, I = 100; 30.16°, I = 85; 28.97°, I = 70; 30.27°, I = 40; 29.71°, I = 37; 28.30°, I = 34

Crystal structure
```
Sr11InSb9
1.0
-6.2720 6.6304 8.8567
6.2720 -6.6304 8.8567
6.2720 6.6304 -8.8567
Sr In Sb
22 2 18
Direct
0.0000 0.0000 0.0000
0.0052 0.3381 0.9860
0.0637 0.2472 0.6371
0.1042 0.3667 0.3704
0.1101 0.7472 0.1835
0.2431 0.5943 0.7952
0.2507 0.9950 0.6274
0.2991 0.0943 0.3512
0.3522 0.0192 0.0140
0.3676 0.6233 0.3726
0.4963 0.8667 0.2625
0.5000 0.5000 0.0000
0.5052 0.5192 0.6670
0.5637 0.9265 0.8165
0.6042 0.2338 0.7375
0.6101 0.4265 0.3629
0.7431 0.9479 0.6488
0.7507 0.1233 0.2557
0.7991 0.4479 0.2048
0.8522 0.8381 0.3330
0.8676 0.4950 0.7443
0.9963 0.7338 0.6296
0.2859 0.2859 0.0000
0.7859 0.7859 0.0000
0.0073 0.0153 0.2865
0.0585 0.0464 0.7541
0.0772 0.6480 0.3617
0.1739 0.8189 0.0011
0.2288 0.5153 0.0080
0.2863 0.7155 0.6383
0.2924 0.3044 0.2459
0.3177 0.3189 0.6450
0.4276 0.9276 0.5000
0.5073 0.2208 0.9920
0.5585 0.8044 0.0121
0.5772 0.2155 0.4292
0.6739 0.6728 0.3550
0.7288 0.7208 0.7135
0.7863 0.1480 0.5708
0.7924 0.5464 0.9879
0.8177 0.1728 0.9989
0.9276 0.4276 0.5000
```